Starting from a DFT-relaxed cell (PBE+U, Alexandria), the powder X-ray diffraction pattern of LiVP2O8 was computed for Cu Ka.
Intensities are scaled so that the largest is 100.

The 10 most intense peaks (10° ≤ 2θ ≤ 90°), in order of falling intensity:
| 2θ/deg | d [Å] | I (rel.) | hkl |
| --- | --- | --- | --- |
| 11.87 | 7.454 | 100 | 1 0 0 |
| 23.22 | 3.830 | 44 | 1 2 1 |
| 24.67 | 3.608 | 43 | -1 1 2 |
| 24.38 | 3.651 | 41 | 1 -1 1 |
| 30.51 | 2.930 | 14 | 2 2 1 |
| 32.42 | 2.761 | 11 | 2 -1 1 |
| 23.58 | 3.774 | 9 | 1 1 2 |
| 32.81 | 2.730 | 8 | -2 1 2 |
| 41.35 | 2.183 | 7 | 2 -2 1 |
| 26.18 | 3.404 | 7 | 1 2 0 |

Crystal structure
```
data_LiVP2O8
_chemical_formula_sum 'Li3 V3 P6 O24'
_space_group_name_H-M_alt 'P 1'
_space_group_IT_number 1
_space_group_name_Hall 'P 1'
_cell_length_a 7.4852
_cell_length_b 8.4964
_cell_length_c 8.5032
_cell_angle_alpha 60.47
_cell_angle_beta 87.02
_cell_angle_gamma 84.86
loop_
_atom_site_label
_atom_site_fract_x
_atom_site_fract_y
_atom_site_fract_z
Li1 0.0000 0.0000 0.0000
Li2 0.0399 0.7404 0.6714
Li3 0.1297 0.5873 0.3384
V1 0.4370 0.0437 0.0005
V2 0.5263 0.3603 0.3404
V3 0.6045 0.6916 0.6799
P1 0.3031 0.0182 0.3862
P2 0.3038 0.6993 0.9808
P3 0.3058 0.4215 0.6636
P4 0.7378 0.0329 0.6995
P5 0.7394 0.3078 0.0144
P6 0.7394 0.7126 0.2959
O1 0.1278 0.9769 0.4842
O2 0.1392 0.5471 0.5889
O3 0.1451 0.6636 0.9074
O4 0.2763 0.2442 0.8453
O5 0.2768 0.8859 0.9815
O6 0.2990 0.0098 0.2062
O7 0.3448 0.5606 0.1843
O8 0.3691 0.2091 0.3254
O9 0.3773 0.3562 0.5284
O10 0.4581 0.8830 0.5095
O11 0.4586 0.5217 0.6861
O12 0.4793 0.6985 0.8715
O13 0.5646 0.0320 0.8132
O14 0.5760 0.2149 0.9940
O15 0.5960 0.8556 0.1686
O16 0.6654 0.3733 0.1505
O17 0.6685 0.5263 0.3469
O18 0.6783 0.1721 0.5005
O19 0.7449 0.7118 0.4797
O20 0.7610 0.4902 0.8344
O21 0.7663 0.8476 0.6996
O22 0.8968 0.0784 0.7624
O23 0.9039 0.1828 0.0725
O24 0.9235 0.7399 0.2099
```